Entry 1:
The following is a theoretical X-ray diffraction stick pattern of CdAg. It was derived from the PBE geometry in the Materials Project, using a wavelength of 1.5418 Å.
Lines closer than 0.1° are merged.

Structural model:
```
data_CdAg
_space_group_name_H-M_alt 'P m -3 m'
_space_group_IT_number 221
_space_group_name_Hall '-P 4 2 3'
_cell_length_a 3.395
_cell_length_b 3.395
_cell_length_c 3.395
_cell_angle_alpha 90.00
_cell_angle_beta 90.00
_cell_angle_gamma 90.00
loop_
_atom_site_label
_atom_site_fract_x
_atom_site_fract_y
_atom_site_fract_z
Cd1 0.000 0.000 0.000
Ag1 0.500 0.500 0.500
```

Most intense lines, 10 to 90 degrees two-theta, in order of falling intensity:
(hkl)  2θ/deg  I_rel
1 1 0  37.47  100
2 1 1  67.59  33
2 0 0  54.02  17
2 2 0  79.93  10

Entry 2:
The following is a theoretical X-ray diffraction stick pattern of Nd2Al9Co3. It was derived from the PBE geometry in the Materials Project, using a wavelength of 1.5418 Å.
Lines closer than 0.1° are merged.

Structural model:
```
data_Nd2Al9Co3
_space_group_name_H-M_alt 'C m c m'
_space_group_IT_number 63
_space_group_name_Hall '-C 2c 2'
_cell_length_a 12.969
_cell_length_b 7.612
_cell_length_c 9.553
_cell_angle_alpha 90.00
_cell_angle_beta 90.00
_cell_angle_gamma 90.00
loop_
_atom_site_label
_atom_site_fract_x
_atom_site_fract_y
_atom_site_fract_z
Nd1 0.161 0.167 0.250
Al1 0.000 0.128 0.750
Al2 0.000 0.334 0.040
Al3 0.106 0.444 0.750
Al4 0.167 0.168 0.570
Co1 0.000 0.000 0.000
Co2 0.170 0.500 0.000
```

Most intense lines, 10 to 90 degrees two-theta, in order of falling intensity:
(hkl)  2θ/deg  I_rel
3 1 3  37.00  100
3 3 0  41.25  99
3 1 1  25.46  78
0 0 4  37.66  78
3 1 2  30.26  62
0 2 3  36.80  49
6 0 0  41.79  46
3 3 4  57.08  42
1 1 1  16.38  39
0 2 1  25.19  39

Entry 3:
The following is a theoretical X-ray diffraction stick pattern of Ta11Fe2Se8. It was derived from the PBE geometry in the Materials Project, using a wavelength of 1.5418 Å.
Lines closer than 0.1° are merged.

Structural model:
```
data_Ta11Fe2Se8
_space_group_name_H-M_alt 'P n n m'
_space_group_IT_number 58
_cell_length_a 12.228
_cell_length_b 19.710
_cell_length_c 3.412
_cell_angle_alpha 90.00
_cell_angle_beta 90.00
_cell_angle_gamma 90.00
loop_
_space_group_symop_operation_xyz
'x,y,z'
'-x,-y,-z'
'-x,-y,z'
'x,y,-z'
'x+1/2,-y+1/2,-z+1/2'
'-x+1/2,y+1/2,z+1/2'
'-x+1/2,y+1/2,-z+1/2'
'x+1/2,-y+1/2,z+1/2'
loop_
_atom_site_label
_atom_site_fract_x
_atom_site_fract_y
_atom_site_fract_z
Ta1 0.000 0.000 0.000
Ta2 0.052 0.244 0.000
Ta3 0.062 0.116 0.500
Ta4 0.153 0.788 0.500
Ta5 0.172 0.353 0.500
Ta6 0.180 0.946 0.500
Fe1 0.094 0.873 0.000
Se1 0.042 0.673 0.500
Se2 0.110 0.446 0.000
Se3 0.204 0.056 0.000
Se4 0.215 0.216 0.500
```

Most intense lines, 10 to 90 degrees two-theta, in order of falling intensity:
(hkl)  2θ/deg  I_rel
1 5 1  35.56  100
1 2 0  11.53  94
4 2 1  40.67  78
5 2 0  37.88  74
1 4 1  32.76  57
3 3 1  36.99  56
3 0 1  34.28  44
3 7 0  38.87  42
0 0 2  53.73  41
4 5 0  37.22  34

Entry 4:
The following is a theoretical X-ray diffraction stick pattern of CuBO2. It was derived from the PBE geometry in the Materials Project, using a wavelength of 1.5418 Å.
Lines closer than 0.1° are merged.

Structural model:
```
data_CuBO2
_space_group_name_H-M_alt 'R -3 m'
_space_group_IT_number 166
_space_group_name_Hall '-R 3 2"'
_cell_length_a 2.5343
_cell_length_b 2.5343
_cell_length_c 16.6879
_cell_angle_alpha 90.00
_cell_angle_beta 90.00
_cell_angle_gamma 120.00
loop_
_atom_site_label
_atom_site_fract_x
_atom_site_fract_y
_atom_site_fract_z
Cu1 0.0000 0.0000 0.0000
B1 0.0000 0.0000 0.5000
O1 0.0000 0.0000 0.1143
```

Most intense lines, 10 to 90 degrees two-theta, in order of falling intensity:
(hkl)  2θ/deg  I_rel
1 0 1  41.50  100
0 1 2  42.59  82
0 0 3  15.93  75
0 1 8  61.31  39
0 0 6  32.18  39
1 0 7  57.04  25
0 0 9  49.14  23
1 1 0  74.95  21
1 0 4  46.77  21
1 0 10  70.95  21

Entry 5:
The following is a theoretical X-ray diffraction stick pattern of Zn3Sn2O7. It was derived from the PBE geometry in the Materials Project, using a wavelength of 1.5418 Å.
Lines closer than 0.1° are merged.

Structural model:
```
data_Zn3Sn2O7
_space_group_name_H-M_alt 'C m c 21'
_space_group_IT_number 36
_cell_length_a 19.061
_cell_length_b 5.430
_cell_length_c 5.389
_cell_angle_alpha 90.00
_cell_angle_beta 90.00
_cell_angle_gamma 90.00
loop_
_space_group_symop_operation_xyz
'x,y,z'
'-x,-y,z+1/2'
'-x,y,z'
'x,-y,z+1/2'
'x+1/2,y+1/2,z'
'-x+1/2,-y+1/2,z+1/2'
'-x+1/2,y+1/2,z'
'x+1/2,-y+1/2,z+1/2'
loop_
_atom_site_label
_atom_site_fract_x
_atom_site_fract_y
_atom_site_fract_z
Zn1 0.000 0.244 0.000
Zn2 0.204 0.281 0.936
Sn1 0.104 0.247 0.472
O1 0.000 0.122 0.377
O2 0.075 0.417 0.802
O3 0.135 0.084 0.145
O4 0.206 0.366 0.562
```

Most intense lines, 10 to 90 degrees two-theta, in order of falling intensity:
(hkl)  2θ/deg  I_rel
0 0 2  33.20  100
10 0 2  59.38  26
0 2 0  32.99  21
5 3 1  59.04  19
0 2 2  47.55  17
15 1 1  79.46  10
10 2 2  69.65  10
10 0 0  47.71  10
10 2 0  59.23  9
1 1 1  23.73  8

Entry 6:
The following is a theoretical X-ray diffraction stick pattern of SmMo6Se4S4. It was derived from the PBE geometry in the Materials Project, using a wavelength of 1.5418 Å.
Lines closer than 0.1° are merged.

Structural model:
```
data_SmMo6Se4S4
_space_group_name_H-M_alt 'P 1'
_space_group_IT_number 1
_cell_length_a 6.630
_cell_length_b 6.683
_cell_length_c 6.697
_cell_angle_alpha 87.62
_cell_angle_beta 88.45
_cell_angle_gamma 88.69
loop_
_space_group_symop_operation_xyz
'x,y,z'
loop_
_atom_site_label
_atom_site_fract_x
_atom_site_fract_y
_atom_site_fract_z
Sm1 0.000 0.000 0.000
Mo1 0.225 0.399 0.582
Mo2 0.423 0.541 0.250
Mo3 0.435 0.748 0.592
Mo4 0.565 0.211 0.445
Mo5 0.577 0.414 0.789
Mo6 0.775 0.556 0.454
Se1 0.234 0.607 0.898
Se2 0.236 0.215 0.262
Se3 0.632 0.862 0.253
Se4 0.763 0.741 0.774
S1 0.130 0.721 0.389
S2 0.374 0.106 0.764
S3 0.746 0.356 0.150
S4 0.871 0.235 0.649
```

Most intense lines, 10 to 90 degrees two-theta, in order of falling intensity:
(hkl)  2θ/deg  I_rel
0 1 -1  19.11  100
0 1 0  13.25  56
2 -1 0  30.40  48
-1 1 3  44.91  47
1 2 -1  33.28  47
3 -1 1  45.43  46
2 1 2  39.58  44
-2 1 2  40.96  38
1 0 0  13.36  37
0 3 1  42.27  35

Entry 7:
The following is a theoretical X-ray diffraction stick pattern of K8TeP8H10O32. It was derived from the PBE geometry in the Materials Project, using a wavelength of 1.5418 Å.
Lines closer than 0.1° are merged.

Structural model:
```
data_K8TeP8H10O32
_space_group_name_H-M_alt 'P -1'
_space_group_IT_number 2
_cell_length_a 7.618
_cell_length_b 10.831
_cell_length_c 11.567
_cell_angle_alpha 66.94
_cell_angle_beta 79.74
_cell_angle_gamma 71.23
loop_
_space_group_symop_operation_xyz
'x,y,z'
'-x,-y,-z'
loop_
_atom_site_label
_atom_site_fract_x
_atom_site_fract_y
_atom_site_fract_z
K1 0.079 0.118 0.024
K2 0.161 0.087 0.358
K3 0.258 0.608 0.560
K4 0.371 0.585 0.151
Te1 0.000 0.500 0.000
P1 0.290 0.305 0.467
P2 0.370 0.819 0.672
P3 0.431 0.919 0.863
P4 0.435 0.217 0.720
H1 0.040 0.171 0.719
H2 0.144 0.389 0.838
H3 0.164 0.843 0.256
H4 0.176 0.657 0.837
H5 0.301 0.326 0.063
O1 0.020 0.400 0.886
O2 0.039 0.665 0.860
O3 0.049 0.864 0.214
O4 0.104 0.310 0.440
O5 0.207 0.882 0.591
O6 0.266 0.431 0.022
O7 0.295 0.867 0.966
O8 0.299 0.229 0.620
O9 0.358 0.433 0.424
O10 0.360 0.342 0.759
O11 0.364 0.149 0.124
O12 0.365 0.820 0.327
O13 0.379 0.933 0.727
O14 0.384 0.679 0.776
O15 0.387 0.086 0.837
O16 0.439 0.185 0.418
```

Most intense lines, 10 to 90 degrees two-theta, in order of falling intensity:
(hkl)  2θ/deg  I_rel
2 0 -1  26.62  100
1 0 1  14.44  98
1 2 3  25.09  85
0 2 -1  22.96  77
0 3 3  30.23  75
2 2 3  30.54  73
1 0 -2  21.37  69
1 1 0  13.19  66
0 1 -2  21.86  61
1 0 2  20.17  52

Entry 8:
The following is a theoretical X-ray diffraction stick pattern of TmAl2Ge2. It was derived from the PBE geometry in the Materials Project, using a wavelength of 1.5418 Å.
Lines closer than 0.1° are merged.

Structural model:
```
data_TmAl2Ge2
_space_group_name_H-M_alt 'P -3 m 1'
_space_group_IT_number 164
_space_group_name_Hall '-P 3 2"'
_cell_length_a 4.2856
_cell_length_b 4.2856
_cell_length_c 6.5242
_cell_angle_alpha 90.00
_cell_angle_beta 90.00
_cell_angle_gamma 120.00
loop_
_atom_site_label
_atom_site_fract_x
_atom_site_fract_y
_atom_site_fract_z
Tm1 0.0000 0.0000 0.0000
Al1 0.3333 0.6667 0.6465
Ge1 0.3333 0.6667 0.2528
```

Most intense lines, 10 to 90 degrees two-theta, in order of falling intensity:
(hkl)  2θ/deg  I_rel
0 1 1  27.65  100
0 1 2  36.68  71
1 1 0  42.17  52
0 0 1  13.57  34
1 0 3  48.52  20
2 0 2  57.10  20
1 2 2  73.48  19
2 0 1  51.18  18
1 2 1  68.40  15
1 1 3  60.67  13

Entry 9:
The following is a theoretical X-ray diffraction stick pattern of UBiSb. It was derived from the PBE geometry in the Materials Project, using a wavelength of 1.5418 Å.
Lines closer than 0.1° are merged.

Structural model:
```
data_UBiSb
_space_group_name_H-M_alt 'P 4/n m m'
_space_group_IT_number 129
_cell_length_a 4.420
_cell_length_b 4.420
_cell_length_c 8.824
_cell_angle_alpha 90.00
_cell_angle_beta 90.00
_cell_angle_gamma 90.00
loop_
_space_group_symop_operation_xyz
'x,y,z'
'-x,-y,-z'
'-y+1/2,x,z'
'y+1/2,-x,-z'
'-x+1/2,-y+1/2,z'
'x+1/2,y+1/2,-z'
'y,-x+1/2,z'
'-y,x+1/2,-z'
'x+1/2,-y,-z'
'-x+1/2,y,z'
'-y,-x,-z'
'y,x,z'
'-x,y+1/2,-z'
'x,-y+1/2,z'
'y+1/2,x+1/2,-z'
'-y+1/2,-x+1/2,z'
loop_
_atom_site_label
_atom_site_fract_x
_atom_site_fract_y
_atom_site_fract_z
U1 0.250 0.250 0.206
Bi1 0.250 0.750 0.500
Sb1 0.250 0.250 0.853
```

Most intense lines, 10 to 90 degrees two-theta, in order of falling intensity:
(hkl)  2θ/deg  I_rel
0 0 3  30.36  100
1 1 2  35.19  73
2 0 0  40.84  43
2 0 3  51.74  31
2 2 3  67.91  28
3 1 2  70.71  20
2 2 0  59.14  18
1 0 1  22.50  17
1 1 5  60.22  15
1 0 3  36.70  14